No. 1
# Cd6RhAu5
Calculated powder diffractogram, Cu Kα, 1.54184 Å. Input: a cell relaxed with GGA-PBE.
Lines closer than 0.1° are merged.

Structure:
Cell: 4.4618 7.5703 7.0203 Å, 90.00 106.24 90.00°
Element x y z (fractional)
Cd (0.0000, 0.2452, 0.0000)
Cd (0.0000, 0.7548, 0.0000)
Cd (0.3404, 0.2457, 0.6751)
Cd (0.3404, 0.7543, 0.6751)
Cd (0.6596, 0.2457, 0.3249)
Cd (0.6596, 0.7543, 0.3249)
Rh (0.5000, 0.0000, 0.0000)
Au (0.1623, 0.0000, 0.3309)
Au (0.1685, 0.5000, 0.3415)
Au (0.5000, 0.5000, 0.0000)
Au (0.8315, 0.5000, 0.6585)
Au (0.8377, 0.0000, 0.6691)

Main lines, by intensity (2θ from 10° to 90°):
| Position (°2θ) | d [Å] | I_rel |
| --- | --- | --- |
| 36.58 | 2.457 | 100 |
| 37.47 | 2.400 | 94 |
| 40.14 | 2.247 | 38 |
| 40.47 | 2.229 | 38 |
| 48.08 | 1.893 | 23 |
| 64.60 | 1.443 | 19 |
| 64.36 | 1.447 | 19 |
| 57.03 | 1.615 | 15 |
| 70.48 | 1.336 | 14 |
| 70.03 | 1.344 | 14 |

No. 2
# Cd2RhAu
Calculated powder diffractogram, Cu Kα, 1.54184 Å. Input: a cell relaxed with GGA-PBE.
Lines closer than 0.1° are merged.

Structure:
Cell: 4.2746 4.2746 3.9121 Å, 90.00 90.00 90.00°
Element x y z (fractional)
Cd (0.0000, 0.5000, 0.0000)
Cd (0.5000, 0.0000, 0.0000)
Rh (0.0000, 0.0000, 0.5000)
Au (0.5000, 0.5000, 0.5000)

Main lines, by intensity (2θ from 10° to 90°):
| Position (°2θ) | d [Å] | I_rel |
| --- | --- | --- |
| 37.61 | 2.392 | 100 |
| 42.29 | 2.137 | 36 |
| 74.23 | 1.278 | 27 |
| 64.59 | 1.443 | 20 |
| 46.42 | 1.956 | 14 |
| 61.34 | 1.511 | 12 |
| 80.16 | 1.197 | 11 |
| 80.27 | 1.196 | 11 |
| 20.78 | 4.275 | 6 |
| 30.99 | 2.886 | 5 |

No. 3
# Cd7Rh2Au
Calculated powder diffractogram, Cu Kα, 1.54184 Å. Input: a cell relaxed with GGA-PBE.
Lines closer than 0.1° are merged.

Structure:
Cell: 4.6292 4.6292 11.5212 Å, 90.00 90.00 120.00°
Element x y z (fractional)
Cd (0.0000, 0.0000, 0.0000)
Cd (0.0000, 0.0000, 0.2530)
Cd (0.0000, 0.0000, 0.5365)
Cd (0.3333, 0.6667, 0.1324)
Cd (0.3333, 0.6667, 0.7005)
Cd (0.6667, 0.3333, 0.3607)
Cd (0.6667, 0.3333, 0.8539)
Rh (0.0000, 0.0000, 0.7694)
Rh (0.6667, 0.3333, 0.1132)
Au (0.3333, 0.6667, 0.4413)

Main lines, by intensity (2θ from 10° to 90°):
| Position (°2θ) | d [Å] | I_rel |
| --- | --- | --- |
| 38.91 | 2.315 | 100 |
| 38.49 | 2.339 | 83 |
| 70.18 | 1.341 | 34 |
| 55.88 | 1.645 | 30 |
| 32.28 | 2.773 | 29 |
| 23.50 | 3.786 | 22 |
| 70.46 | 1.336 | 17 |
| 23.16 | 3.840 | 12 |
| 45.77 | 1.982 | 11 |
| 83.54 | 1.157 | 11 |

No. 4
# CdRuAu2
Calculated powder diffractogram, Cu Kα, 1.54184 Å. Input: a cell relaxed with GGA-PBE.
Lines closer than 0.1° are merged.

Structure:
Cell: 4.9673 4.9673 4.9673 Å, 130.01 130.01 73.39°
Element x y z (fractional)
Cd (0.0000, 0.0000, 0.0000)
Ru (0.2500, 0.7500, 0.5000)
Au (0.5000, 0.5000, 0.0000)
Au (0.7500, 0.2500, 0.5000)

Main lines, by intensity (2θ from 10° to 90°):
| Position (°2θ) | d [Å] | I_rel |
| --- | --- | --- |
| 37.80 | 2.380 | 100 |
| 43.10 | 2.099 | 35 |
| 75.49 | 1.259 | 27 |
| 64.50 | 1.445 | 21 |
| 45.55 | 1.991 | 15 |
| 23.96 | 3.714 | 13 |
| 79.00 | 1.212 | 12 |
| 62.59 | 1.484 | 11 |
| 80.76 | 1.190 | 11 |
| 49.91 | 1.827 | 4 |

No. 5
# Cd3SbAu
Calculated powder diffractogram, Cu Kα, 1.54184 Å. Input: a cell relaxed with GGA-PBE.
Lines closer than 0.1° are merged.

Structure:
Cell: 4.5813 7.3413 7.4430 Å, 91.64 93.84 104.12°
Element x y z (fractional)
Cd (0.1661, 0.3386, 0.4920)
Cd (0.1885, 0.1421, 0.8947)
Cd (0.2963, 0.5863, 0.8645)
Cd (0.7037, 0.4137, 0.1355)
Cd (0.8115, 0.8579, 0.1053)
Cd (0.8339, 0.6614, 0.5080)
Sb (0.3927, 0.0598, 0.2965)
Sb (0.6073, 0.9402, 0.7035)
Au (0.2777, 0.6460, 0.2529)
Au (0.7223, 0.3540, 0.7471)

Main lines, by intensity (2θ from 10° to 90°):
| Position (°2θ) | d [Å] | I_rel |
| --- | --- | --- |
| 32.67 | 2.741 | 100 |
| 40.42 | 2.232 | 85 |
| 36.08 | 2.489 | 62 |
| 40.28 | 2.239 | 57 |
| 40.70 | 2.217 | 54 |
| 30.42 | 2.939 | 48 |
| 31.24 | 2.863 | 40 |
| 45.65 | 1.987 | 39 |
| 34.11 | 2.629 | 39 |
| 28.03 | 3.184 | 38 |

No. 6
# Cd6SbAu10
Calculated powder diffractogram, Cu Kα, 1.54184 Å. Input: a cell relaxed with GGA-PBE.
Lines closer than 0.1° are merged.

Structure:
Cell: 8.2956 8.2956 5.7276 Å, 90.00 90.00 120.00°
Element x y z (fractional)
Cd (0.0000, 0.3822, 0.2900)
Cd (0.0000, 0.6178, 0.7100)
Cd (0.3822, 0.0000, 0.2900)
Cd (0.3822, 0.3822, 0.7100)
Cd (0.6178, 0.0000, 0.7100)
Cd (0.6178, 0.6178, 0.2900)
Sb (0.0000, 0.0000, 0.5000)
Au (0.0000, 0.2710, 0.8206)
Au (0.0000, 0.7290, 0.1794)
Au (0.2710, 0.0000, 0.8206)
Au (0.2710, 0.2710, 0.1794)
Au (0.3333, 0.6667, 0.0000)
Au (0.3333, 0.6667, 0.5000)
Au (0.6667, 0.3333, 0.0000)
Au (0.6667, 0.3333, 0.5000)
Au (0.7290, 0.0000, 0.1794)
Au (0.7290, 0.7290, 0.8206)

Main lines, by intensity (2θ from 10° to 90°):
| Position (°2θ) | d [Å] | I_rel |
| --- | --- | --- |
| 38.19 | 2.357 | 100 |
| 37.56 | 2.395 | 75 |
| 36.62 | 2.454 | 54 |
| 54.64 | 1.680 | 23 |
| 32.99 | 2.715 | 15 |
| 58.25 | 1.584 | 15 |
| 68.20 | 1.375 | 14 |
| 69.44 | 1.354 | 14 |
| 75.53 | 1.259 | 11 |
| 26.53 | 3.359 | 11 |

No. 7
# CdSn2SbAu4
Calculated powder diffractogram, Cu Kα, 1.54184 Å. Input: a cell relaxed with GGA-PBE.
Lines closer than 0.1° are merged.

Structure:
Cell: 6.8027 5.7582 7.2545 Å, 61.78 48.23 69.99°
Element x y z (fractional)
Cd (0.0000, 0.0000, 0.0000)
Sn (0.2472, 0.2472, 0.2528)
Sn (0.7472, 0.7472, 0.7528)
Sb (0.4982, 0.4982, 0.5018)
Au (0.2456, 0.7485, 0.2515)
Au (0.4996, 0.9984, 0.5004)
Au (0.7485, 0.2456, 0.7544)
Au (0.9984, 0.4996, 0.0016)

Main lines, by intensity (2θ from 10° to 90°):
| Position (°2θ) | d [Å] | I_rel |
| --- | --- | --- |
| 31.66 | 2.826 | 100 |
| 45.05 | 2.012 | 76 |
| 31.20 | 2.867 | 52 |
| 52.07 | 1.756 | 27 |
| 40.60 | 2.222 | 26 |
| 74.94 | 1.267 | 18 |
| 74.18 | 1.278 | 18 |
| 59.96 | 1.543 | 16 |
| 76.99 | 1.239 | 16 |
| 49.82 | 1.830 | 14 |

No. 8
# CdSnSbAu
Calculated powder diffractogram, Cu Kα, 1.54184 Å. Input: a cell relaxed with GGA-PBE.
Lines closer than 0.1° are merged.

Structure:
Cell: 12.8033 12.8033 12.8033 Å, 20.03 20.03 20.03°
Element x y z (fractional)
Cd (0.1891, 0.1891, 0.1891)
Cd (0.8109, 0.8109, 0.8109)
Sn (0.3897, 0.3897, 0.3897)
Sn (0.6103, 0.6103, 0.6103)
Sb (0.1060, 0.1060, 0.1060)
Sb (0.8940, 0.8940, 0.8940)
Au (0.3118, 0.3118, 0.3118)
Au (0.6882, 0.6882, 0.6882)

Main lines, by intensity (2θ from 10° to 90°):
| Position (°2θ) | d [Å] | I_rel |
| --- | --- | --- |
| 33.27 | 2.693 | 100 |
| 40.52 | 2.226 | 91 |
| 40.93 | 2.205 | 55 |
| 24.96 | 3.568 | 48 |
| 73.96 | 1.282 | 44 |
| 23.55 | 3.778 | 36 |
| 58.94 | 1.567 | 27 |
| 53.39 | 1.716 | 26 |
| 69.11 | 1.359 | 24 |
| 45.16 | 2.008 | 17 |

No. 9
# Sc4CdAu
Calculated powder diffractogram, Cu Kα, 1.54184 Å. Input: a cell relaxed with GGA-PBE.
Lines closer than 0.1° are merged.

Structure:
Cell: 8.2449 8.2449 8.2449 Å, 33.43 33.43 33.43°
Element x y z (fractional)
Sc (0.1197, 0.1197, 0.1197)
Sc (0.3706, 0.3706, 0.3706)
Sc (0.6294, 0.6294, 0.6294)
Sc (0.8803, 0.8803, 0.8803)
Cd (0.5000, 0.5000, 0.5000)
Au (0.0000, 0.0000, 0.0000)

Main lines, by intensity (2θ from 10° to 90°):
| Position (°2θ) | d [Å] | I_rel |
| --- | --- | --- |
| 22.93 | 3.878 | 100 |
| 37.94 | 2.371 | 51 |
| 37.83 | 2.378 | 50 |
| 44.73 | 2.026 | 39 |
| 68.49 | 1.370 | 25 |
| 54.66 | 1.679 | 17 |
| 44.81 | 2.023 | 13 |
| 73.27 | 1.292 | 12 |
| 60.13 | 1.539 | 11 |
| 11.38 | 7.777 | 10 |

No. 10
# Sc2Cd5Au
Calculated powder diffractogram, Cu Kα, 1.54184 Å. Input: a cell relaxed with GGA-PBE.
Lines closer than 0.1° are merged.

Structure:
Cell: 8.6486 8.6486 8.6486 Å, 32.91 32.91 32.91°
Element x y z (fractional)
Sc (0.1217, 0.1217, 0.1217)
Sc (0.8783, 0.8783, 0.8783)
Cd (0.2472, 0.2472, 0.2472)
Cd (0.3740, 0.3740, 0.3740)
Cd (0.5000, 0.5000, 0.5000)
Cd (0.6260, 0.6260, 0.6260)
Cd (0.7528, 0.7528, 0.7528)
Au (0.0000, 0.0000, 0.0000)

Main lines, by intensity (2θ from 10° to 90°):
| Position (°2θ) | d [Å] | I_rel |
| --- | --- | --- |
| 36.15 | 2.484 | 100 |
| 36.69 | 2.450 | 97 |
| 52.46 | 1.744 | 33 |
| 65.72 | 1.421 | 33 |
| 10.82 | 8.173 | 22 |
| 64.67 | 1.441 | 17 |
| 66.07 | 1.414 | 16 |
| 25.53 | 3.489 | 16 |
| 89.14 | 1.099 | 15 |
| 88.19 | 1.108 | 15 |

No. 11
# ScCdAu2
Calculated powder diffractogram, Cu Kα, 1.54184 Å. Input: a cell relaxed with GGA-PBE.
Lines closer than 0.1° are merged.

Structure:
Cell: 5.1342 5.1342 5.1342 Å, 130.36 130.36 72.83°
Element x y z (fractional)
Sc (0.0000, 0.0000, 0.0000)
Cd (0.2500, 0.7500, 0.5000)
Au (0.5000, 0.5000, 0.0000)
Au (0.7500, 0.2500, 0.5000)

Main lines, by intensity (2θ from 10° to 90°):
| Position (°2θ) | d [Å] | I_rel |
| --- | --- | --- |
| 36.64 | 2.453 | 100 |
| 41.92 | 2.155 | 34 |
| 23.28 | 3.822 | 30 |
| 73.11 | 1.294 | 26 |
| 62.25 | 1.491 | 21 |
| 43.82 | 2.066 | 15 |
| 75.80 | 1.255 | 15 |
| 60.78 | 1.524 | 11 |
| 77.90 | 1.226 | 11 |
| 48.50 | 1.877 | 9 |

No. 12
# ScCd2Au8
Calculated powder diffractogram, Cu Kα, 1.54184 Å. Input: a cell relaxed with GGA-PBE.
Lines closer than 0.1° are merged.

Structure:
Cell: 7.8294 7.8294 6.7024 Å, 105.46 105.46 31.25°
Element x y z (fractional)
Sc (0.0000, 0.0000, 0.0000)
Cd (0.2765, 0.2765, 0.3534)
Cd (0.7235, 0.7235, 0.6466)
Au (0.0930, 0.0930, 0.4483)
Au (0.1777, 0.1777, 0.9112)
Au (0.3646, 0.3646, 0.8181)
Au (0.4581, 0.4581, 0.2696)
Au (0.5419, 0.5419, 0.7304)
Au (0.6354, 0.6354, 0.1819)
Au (0.8223, 0.8223, 0.0888)
Au (0.9070, 0.9070, 0.5517)

Main lines, by intensity (2θ from 10° to 90°):
| Position (°2θ) | d [Å] | I_rel |
| --- | --- | --- |
| 37.01 | 2.429 | 100 |
| 42.89 | 2.108 | 17 |
| 42.60 | 2.122 | 17 |
| 43.51 | 2.080 | 16 |
| 74.71 | 1.271 | 13 |
| 74.29 | 1.277 | 13 |
| 75.58 | 1.258 | 13 |
| 62.04 | 1.496 | 11 |
| 62.75 | 1.481 | 11 |
| 78.75 | 1.215 | 6 |

No. 13
# Sm2Cd16Au
Calculated powder diffractogram, Cu Kα, 1.54184 Å. Input: a cell relaxed with GGA-PBE.
Lines closer than 0.1° are merged.

Structure:
Cell: 7.6469 7.6469 7.6469 Å, 82.00 82.00 82.00°
Element x y z (fractional)
Sm (0.0000, 0.0000, 0.0000)
Sm (0.3426, 0.3426, 0.3426)
Cd (0.0200, 0.0200, 0.5441)
Cd (0.0200, 0.5441, 0.0200)
Cd (0.1972, 0.6558, 0.6558)
Cd (0.3024, 0.3024, 0.8732)
Cd (0.3024, 0.8732, 0.3024)
Cd (0.3727, 0.6762, 0.9758)
Cd (0.3727, 0.9758, 0.6762)
Cd (0.5441, 0.0200, 0.0200)
Cd (0.5925, 0.5925, 0.5925)
Cd (0.6558, 0.1972, 0.6558)
Cd (0.6558, 0.6558, 0.1972)
Cd (0.6762, 0.3727, 0.9758)
Cd (0.6762, 0.9758, 0.3727)
Cd (0.8732, 0.3024, 0.3024)
Cd (0.9758, 0.3727, 0.6762)
Cd (0.9758, 0.6762, 0.3727)
Au (0.7914, 0.7914, 0.7914)

Main lines, by intensity (2θ from 10° to 90°):
| Position (°2θ) | d [Å] | I_rel |
| --- | --- | --- |
| 35.83 | 2.506 | 100 |
| 40.24 | 2.241 | 32 |
| 30.87 | 2.896 | 29 |
| 36.42 | 2.467 | 28 |
| 35.98 | 2.496 | 22 |
| 31.55 | 2.835 | 20 |
| 64.59 | 1.443 | 14 |
| 64.33 | 1.448 | 11 |
| 40.36 | 2.235 | 9 |
| 64.73 | 1.440 | 8 |

No. 14
# SmCd5Au3
Calculated powder diffractogram, Cu Kα, 1.54184 Å. Input: a cell relaxed with GGA-PBE.
Lines closer than 0.1° are merged.

Structure:
Cell: 7.7861 7.7861 15.1000 Å, 90.00 90.00 153.35°
Element x y z (fractional)
Sm (0.1656, 0.8344, 0.7500)
Sm (0.8344, 0.1656, 0.2500)
Cd (0.0000, 0.0000, 0.0000)
Cd (0.0000, 0.0000, 0.5000)
Cd (0.1906, 0.8094, 0.0620)
Cd (0.1906, 0.8094, 0.4380)
Cd (0.4545, 0.5455, 0.6557)
Cd (0.4545, 0.5455, 0.8443)
Cd (0.5455, 0.4545, 0.1557)
Cd (0.5455, 0.4545, 0.3443)
Cd (0.8094, 0.1906, 0.5620)
Cd (0.8094, 0.1906, 0.9380)
Au (0.1701, 0.8299, 0.2500)
Au (0.3724, 0.6276, 0.0886)
Au (0.3724, 0.6276, 0.4114)
Au (0.6276, 0.3724, 0.5886)
Au (0.6276, 0.3724, 0.9114)
Au (0.8299, 0.1701, 0.7500)

Main lines, by intensity (2θ from 10° to 90°):
| Position (°2θ) | d [Å] | I_rel |
| --- | --- | --- |
| 35.00 | 2.564 | 100 |
| 32.83 | 2.728 | 79 |
| 38.91 | 2.315 | 74 |
| 31.17 | 2.870 | 66 |
| 39.40 | 2.287 | 63 |
| 43.04 | 2.102 | 41 |
| 43.16 | 2.096 | 41 |
| 50.87 | 1.795 | 40 |
| 37.66 | 2.388 | 39 |
| 70.13 | 1.342 | 33 |